The following is a simulated XRD peak list of Ba5Ga5Pb. It was derived from the GGA-PBE geometry in Alexandria, using Cu Ka.
Intensities are scaled so that the largest is 100.

The 10 most intense peaks (10° ≤ 2θ ≤ 80°), in order of falling intensity:
d_spacing	Rel. int.	hkl
3.044	100	1 1 0
3.018	98	1 0 3
2.346	42	1 1 3
1.752	34	2 1 3
2.379	22	2 0 2
1.522	21	2 2 0
1.757	20	3 0 0
3.813	20	1 0 2
2.143	18	2 0 3
1.359	17	3 1 3

Crystal structure
Cell lengths 6.0878, 6.0878, 11.0408 Å; angles 90.00, 90.00, 120.00 degrees
Space group P-6m2 (No. 187)
Symmetry-distinct sites (fractional):
Ba: 0.0000 0.0000 0.0000 x1
Ba: 0.3333 0.6667 0.2045 x2
Ba: 0.6667 0.3333 0.3323 x2
Ga: 0.0000 0.0000 0.3251 x2
Ga: 0.1806 0.3613 0.5000 x3
Pb: 0.6667 0.3333 0.0000 x1